Structure and theoretical XRD peak list of TbY3C8 (a DFT-relaxed cell (PBE, Alexandria); Cu Kα, 1.54184 Å).
Peak positions follow from Bragg's law for the DFT cell and can differ from measured ones.

Atomic structure:
```
TbY3C8
1.0
-2.605 3.106 5.231
2.605 -3.106 5.231
2.605 3.106 -5.231
Tb Y C
1 3 8
direct
0.000 0.000 0.000
0.250 0.750 0.500
0.500 0.500 0.000
0.750 0.250 0.500
0.105 0.500 0.605
0.145 0.250 0.895
0.355 0.250 0.105
0.395 0.000 0.395
0.605 0.000 0.605
0.645 0.750 0.895
0.855 0.750 0.105
0.895 0.500 0.395
```

Main lines, most intense first (2θ = 15–90°):
- 28.12°, rel. 100
- 28.74°, rel. 38
- 50.53°, rel. 32
- 34.28°, rel. 31
- 34.43°, rel. 30
- 45.32°, rel. 21
- 45.44°, rel. 21
- 49.38°, rel. 20
- 58.13°, rel. 20
- 57.69°, rel. 14

=====

Structure and theoretical XRD peak list of Hf4PbS8 (a DFT-relaxed cell (PBE, Alexandria); Cu Kα, 1.54184 Å).
Peak positions follow from Bragg's law for the DFT cell and can differ from measured ones.

Atomic structure:
```
Hf4PbS8
1.0
3.603 2.080 7.200
-3.603 2.080 7.200
0.000 -4.160 7.200
Hf Pb S
4 1 8
direct
0.000 0.000 0.000
0.000 0.500 0.500
0.500 0.000 0.500
0.500 0.500 0.000
0.500 0.500 0.500
0.236 0.236 0.738
0.236 0.738 0.236
0.262 0.764 0.764
0.265 0.265 0.265
0.735 0.735 0.735
0.738 0.236 0.236
0.764 0.262 0.764
0.764 0.764 0.262
```

Main lines, most intense first (2θ = 15–90°):
- 33.16°, rel. 100
- 44.37°, rel. 42
- 50.68°, rel. 41
- 29.81°, rel. 40
- 24.73°, rel. 29
- 28.91°, rel. 24
- 41.14°, rel. 17
- 74.52°, rel. 17
- 57.18°, rel. 17
- 61.91°, rel. 17